Ce6PaBi10: simulated powder diffractogram (copper Kα), based on DFT lattice parameters and positions (GGA-PBE).

Structural model:
```
Ce6PaBi10
1.0
9.714 0.000 0.000
-4.857 8.413 0.000
0.000 0.000 6.474
Ce Pa Bi
6 1 10
direct
0.000 0.386 0.250 Ce
0.000 0.614 0.750 Ce
0.386 0.000 0.250 Ce
0.386 0.386 0.750 Ce
0.614 0.000 0.750 Ce
0.614 0.614 0.250 Ce
0.000 0.000 0.000 Pa
0.000 0.267 0.739 Bi
0.000 0.733 0.261 Bi
0.267 0.000 0.739 Bi
0.267 0.267 0.261 Bi
0.333 0.667 0.000 Bi
0.333 0.667 0.500 Bi
0.667 0.333 0.000 Bi
0.667 0.333 0.500 Bi
0.733 0.000 0.261 Bi
0.733 0.733 0.739 Bi
```

Peak list (10 most intense, 5 to 70 degrees two-theta, in order of rising 2θ)
2theta  intensity
31.34  72
31.91  80
33.26  100
41.12  14
46.76  30
49.27  17
51.15  18
56.88  14
57.73  15
66.72  21

CsYPb: simulated powder diffractogram (copper Kα), based on DFT lattice parameters and positions (GGA-PBE).

Structural model:
```
CsYPb
1.0
5.714 0.000 0.000
0.000 8.397 0.000
0.000 0.000 5.714
Cs Y Pb
2 2 2
direct
0.000 0.000 0.000 Cs
0.500 0.000 0.500 Cs
0.000 0.500 0.999 Y
0.500 0.500 0.499 Y
0.000 0.339 0.499 Pb
0.500 0.661 0.999 Pb
```

Peak list (10 most intense, 5 to 70 degrees two-theta, in order of rising 2θ)
2theta  intensity
18.78  100
24.45  39
26.34  51
30.71  99
31.31  89
36.76  39
41.36  32
44.86  33
48.90  34
55.35  37

Pa3Ge2C: simulated powder diffractogram (copper Kα), based on DFT lattice parameters and positions (GGA-PBE).

Structural model:
```
Pa3Ge2C
1.0
3.517 -5.911 0.000
3.517 5.911 0.000
-2.167 0.000 6.365
Pa Ge C
6 4 2
direct
0.000 0.500 0.000 Pa
0.136 0.282 0.496 Pa
0.282 0.136 0.996 Pa
0.500 0.000 0.500 Pa
0.718 0.864 0.004 Pa
0.864 0.718 0.504 Pa
0.264 0.736 0.750 Ge
0.419 0.581 0.250 Ge
0.581 0.419 0.750 Ge
0.736 0.264 0.250 Ge
0.078 0.922 0.250 C
0.922 0.078 0.750 C
```

Peak list (10 most intense, 5 to 70 degrees two-theta, in order of rising 2θ)
2theta  intensity
26.78  24
27.70  53
28.04  27
31.87  100
32.04  46
45.00  29
45.32  18
46.06  17
46.62  36
57.21  16

What did the third record say?
Pa3Ge2C: simulated powder diffractogram (copper Kα), based on DFT lattice parameters and positions (GGA-PBE).

Structural model:
```
Pa3Ge2C
1.0
3.517 -5.911 0.000
3.517 5.911 0.000
-2.167 0.000 6.365
Pa Ge C
6 4 2
direct
0.000 0.500 0.000 Pa
0.136 0.282 0.496 Pa
0.282 0.136 0.996 Pa
0.500 0.000 0.500 Pa
0.718 0.864 0.004 Pa
0.864 0.718 0.504 Pa
0.264 0.736 0.750 Ge
0.419 0.581 0.250 Ge
0.581 0.419 0.750 Ge
0.736 0.264 0.250 Ge
0.078 0.922 0.250 C
0.922 0.078 0.750 C
```

Peak list (10 most intense, 5 to 70 degrees two-theta, in order of rising 2θ)
2theta  intensity
26.78  24
27.70  53
28.04  27
31.87  100
32.04  46
45.00  29
45.32  18
46.06  17
46.62  36
57.21  16